No. 1
Simulated powder XRD pattern
Compound: SrPb2Cl6O5
Radiation: Cu Kα (λ = 1.5418 Å)
Structure: a PBE-relaxed structure
Kinematic intensities with the Lorentz-polarization factor, no thermal factor.

Structural model:
Cell lengths 9.7334, 9.7334, 9.7870 Å; angles 114.49, 114.49, 65.75 degrees
Atoms (fractional coordinates):
Sr  0.2341  0.7659  0.7500
Sr  0.7659  0.2341  0.2500
Pb  0.3388  0.4242  0.0133
Pb  0.4242  0.3388  0.5133
Pb  0.5758  0.6612  0.4867
Pb  0.6612  0.5758  0.9867
Cl  0.0304  0.3777  0.0238
Cl  0.1770  0.4693  0.6668
Cl  0.2679  0.6256  0.4264
Cl  0.3744  0.7321  0.0736
Cl  0.3777  0.0304  0.5238
Cl  0.4693  0.1770  0.1668
Cl  0.5307  0.8230  0.8332
Cl  0.6223  0.9696  0.4762
Cl  0.6256  0.2679  0.9264
Cl  0.7321  0.3744  0.5736
Cl  0.8230  0.5307  0.3332
Cl  0.9696  0.6223  0.9762
O  0.0164  0.0872  0.0965
O  0.0872  0.0164  0.5965
O  0.1151  0.1457  0.1057
O  0.1457  0.1151  0.6057
O  0.4629  0.5371  0.7500
O  0.5371  0.4629  0.2500
O  0.8543  0.8849  0.3943
O  0.8849  0.8543  0.8943
O  0.9128  0.9836  0.4035
O  0.9836  0.9128  0.9035

Top 10 peaks for 5° ≤ 2θ ≤ 70°, sorted by position:
2θ/deg	Rel. int.
10.4	100
16.8	28
20.9	22
21.7	16
26.0	25
26.9	31
28.9	16
29.1	18
30.3	38
32.4	27


No. 2
Simulated powder XRD pattern
Compound: KRh
Radiation: Cu Kα (λ = 1.5418 Å)
Structure: a PBE-relaxed structure
Kinematic intensities with the Lorentz-polarization factor, no thermal factor.

Structural model:
Cell lengths 8.5451, 2.9709, 9.6159 Å; angles 90.00, 93.63, 90.00 degrees
Atoms (fractional coordinates):
K  0.1142  0.0000  0.2773
K  0.3858  0.5000  0.7227
K  0.6142  0.5000  0.2773
K  0.8858  0.0000  0.7227
Rh  0.1329  0.5000  0.9669
Rh  0.3671  0.0000  0.0331
Rh  0.6329  0.0000  0.9669
Rh  0.8671  0.5000  0.0331

Top 10 peaks for 5° ≤ 2θ ≤ 70°, sorted by position:
2θ/deg	Rel. int.
9.2	100
18.5	8
27.9	10
33.5	14
34.0	5
37.5	14
42.4	6
44.1	5
44.7	8
47.3	5


No. 3
Simulated powder XRD pattern
Compound: Nd6DyHg5
Radiation: Cu Kα (λ = 1.5418 Å)
Structure: a PBE-relaxed structure
Kinematic intensities with the Lorentz-polarization factor, no thermal factor.

Structural model:
Cell lengths 9.4895, 9.4895, 9.4895 Å; angles 147.11, 131.04, 60.24 degrees
Atoms (fractional coordinates):
Nd  0.0723  0.3279  0.7444
Nd  0.2278  0.0000  0.2278
Nd  0.4165  0.6721  0.7444
Nd  0.5835  0.3279  0.2556
Nd  0.7722  0.0000  0.7722
Nd  0.9277  0.6721  0.2556
Dy  0.5000  0.5000  0.0000
Hg  0.0000  0.5000  0.5000
Hg  0.1698  0.1698  0.0000
Hg  0.3517  0.8517  0.5000
Hg  0.6483  0.1483  0.5000
Hg  0.8302  0.8302  0.0000

Top 10 peaks for 5° ≤ 2θ ≤ 70°, sorted by position:
2θ/deg	Rel. int.
32.6	100
32.7	23
33.4	25
46.2	10
47.4	17
57.7	9
58.1	10
58.4	15
59.1	18
68.3	11


No. 4
Simulated powder XRD pattern
Compound: In2RhS4
Radiation: Cu Kα (λ = 1.5418 Å)
Structure: a PBE-relaxed structure
Kinematic intensities with the Lorentz-polarization factor, no thermal factor.

Structural model:
Cell lengths 7.5326, 7.5326, 7.5326 Å; angles 120.03, 117.82, 91.88 degrees
Atoms (fractional coordinates):
In  0.0000  0.0000  0.0000
In  0.3855  0.6355  0.7500
In  0.5000  0.0000  0.5000
In  0.6145  0.3645  0.2500
Rh  0.0000  0.0000  0.5000
Rh  0.0000  0.5000  0.0000
S  0.1975  0.2477  0.9498
S  0.2021  0.7523  0.4498
S  0.2292  0.2161  0.4869
S  0.2292  0.7423  0.0131
S  0.7708  0.2577  0.9869
S  0.7708  0.7839  0.5131
S  0.7979  0.2477  0.5502
S  0.8025  0.7523  0.0502

Top 10 peaks for 5° ≤ 2θ ≤ 70°, sorted by position:
2θ/deg	Rel. int.
23.6	51
27.2	72
27.7	64
28.0	26
28.2	43
33.1	30
43.2	36
43.8	24
46.7	20
48.4	100


No. 5
Simulated powder XRD pattern
Compound: Al5GeIr2
Radiation: Cu Kα (λ = 1.5418 Å)
Structure: a PBE-relaxed structure
Kinematic intensities with the Lorentz-polarization factor, no thermal factor.

Structural model:
Cell lengths 7.1966, 12.2162, 2.9474 Å; angles 90.00, 90.00, 90.00 degrees
Atoms (fractional coordinates):
Al  0.0000  0.0000  0.0000
Al  0.1718  0.3623  0.5000
Al  0.1879  0.6813  0.0000
Al  0.3121  0.1813  0.0000
Al  0.3282  0.8623  0.5000
Al  0.5000  0.5000  0.0000
Al  0.6718  0.1377  0.5000
Al  0.6879  0.8187  0.0000
Al  0.8121  0.3187  0.0000
Al  0.8282  0.6377  0.5000
Ge  0.0000  0.5000  0.0000
Ge  0.5000  0.0000  0.0000
Ir  0.0107  0.1763  0.5000
Ir  0.4893  0.6763  0.5000
Ir  0.5107  0.3237  0.5000
Ir  0.9893  0.8237  0.5000

Top 10 peaks for 5° ≤ 2θ ≤ 70°, sorted by position:
2θ/deg	Rel. int.
14.3	23
14.5	36
24.7	61
25.1	100
33.7	60
39.8	44
42.3	44
43.8	42
44.5	22
50.1	28